For W3SeBr7, a crystal structure in Alexandria, relaxed with PBE gives the computed PXRD pattern in this record (a wavelength of 1.5418 Å).
Kinematic intensities with the Lorentz-polarization factor, no thermal factor.

Peak list (10 most intense, 2θ = 5–70°, sorted by position)
- d 7.242, intensity 100
- d 6.018, intensity 10
- d 5.646, intensity 14
- d 5.568, intensity 14
- d 2.823, intensity 41
- d 2.742, intensity 22
- d 2.351, intensity 27
- d 2.306, intensity 10
- d 2.272, intensity 11
- d 1.873, intensity 15

Structural model:
```
W3SeBr7
1.0
6.023 -3.523 0.000
6.023 3.523 0.000
-5.743 0.000 7.242
W Se Br
3 1 7
Direct
0.000 0.000 0.000
0.392 0.987 0.995
0.987 0.392 0.995
0.001 0.001 0.731
0.040 0.536 0.805
0.401 0.401 0.238
0.409 0.914 0.246
0.531 0.531 0.800
0.536 0.040 0.805
0.880 0.880 0.181
0.914 0.409 0.246
```

For ZnSeBr, a crystal structure in Alexandria, relaxed with PBE gives the computed PXRD pattern in this record (a wavelength of 1.5418 Å).
Kinematic intensities with the Lorentz-polarization factor, no thermal factor.

Peak list (10 most intense, 2θ = 5–70°, sorted by position)
- d 5.559, intensity 25
- d 3.460, intensity 100
- d 3.329, intensity 21
- d 2.779, intensity 34
- d 2.720, intensity 44
- d 2.024, intensity 24
- d 1.979, intensity 46
- d 1.946, intensity 37
- d 1.936, intensity 35
- d 1.624, intensity 18

Structural model:
```
ZnSeBr
1.0
3.617 -2.024 0.000
3.617 2.024 0.000
-2.360 0.000 5.559
Zn Se Br
1 1 1
Direct
0.000 0.000 0.000
0.705 0.705 0.133
0.709 0.709 0.615
```

For ZrSe2Br4, a crystal structure in Alexandria, relaxed with PBE gives the computed PXRD pattern in this record (a wavelength of 1.5418 Å).
Kinematic intensities with the Lorentz-polarization factor, no thermal factor.

Peak list (10 most intense, 2θ = 5–70°, sorted by position)
- d 9.857, intensity 42
- d 6.228, intensity 84
- d 5.346, intensity 85
- d 3.767, intensity 42
- d 3.359, intensity 39
- d 3.180, intensity 67
- d 3.162, intensity 52
- d 2.964, intensity 62
- d 2.572, intensity 100
- d 1.909, intensity 49

Structural model:
```
ZrSe2Br4
1.0
9.986 -1.982 0.000
9.986 1.982 0.000
-1.144 0.000 7.055
Zr Se Br
1 2 4
Direct
0.000 0.000 0.000
0.250 0.250 0.409
0.750 0.750 0.591
0.114 0.114 0.883
0.455 0.455 0.747
0.545 0.545 0.253
0.886 0.886 0.117
```

For Zr3Se2Br4, a crystal structure in Alexandria, relaxed with PBE gives the computed PXRD pattern in this record (a wavelength of 1.5418 Å).
Kinematic intensities with the Lorentz-polarization factor, no thermal factor.

Peak list (10 most intense, 2θ = 5–70°, sorted by position)
- d 7.405, intensity 81
- d 3.138, intensity 51
- d 2.889, intensity 16
- d 2.732, intensity 16
- d 2.563, intensity 100
- d 2.394, intensity 13
- d 2.080, intensity 49
- d 1.812, intensity 41
- d 1.480, intensity 18
- d 1.366, intensity 12

Structural model:
```
Zr3Se2Br4
1.0
3.624 0.000 0.000
-1.812 3.138 0.000
0.000 0.000 22.215
Zr Se Br
3 2 4
Direct
0.000 0.000 0.000
0.333 0.667 0.320
0.333 0.667 0.680
0.333 0.667 0.077
0.333 0.667 0.923
0.000 0.000 0.239
0.000 0.000 0.402
0.000 0.000 0.598
0.000 0.000 0.761
```

For Zr2Se4Br, a crystal structure in Alexandria, relaxed with PBE gives the computed PXRD pattern in this record (a wavelength of 1.5418 Å).
Kinematic intensities with the Lorentz-polarization factor, no thermal factor.

Peak list (10 most intense, 2θ = 5–70°, sorted by position)
- d 7.942, intensity 46
- d 7.555, intensity 98
- d 6.344, intensity 100
- d 3.195, intensity 32
- d 2.783, intensity 25
- d 2.632, intensity 51
- d 2.577, intensity 67
- d 2.381, intensity 28
- d 2.243, intensity 36
- d 2.064, intensity 27

Structural model:
```
Zr2Se4Br
1.0
7.173 0.000 0.000
-1.849 8.080 0.000
-3.192 -1.416 7.555
Zr Se Br
4 8 2
Direct
0.000 0.000 0.000
0.013 0.453 0.062
0.342 0.848 0.380
0.484 0.119 0.920
0.142 0.260 0.876
0.171 0.803 0.835
0.367 0.689 0.080
0.428 0.109 0.239
0.628 0.911 0.740
0.638 0.397 0.831
0.879 0.192 0.192
0.940 0.744 0.188
0.202 0.053 0.557
0.349 0.528 0.412
```

For Si23Br, a crystal structure in Alexandria, relaxed with PBE gives the computed PXRD pattern in this record (a wavelength of 1.5418 Å).
Kinematic intensities with the Lorentz-polarization factor, no thermal factor.

Peak list (10 most intense, 2θ = 5–70°, sorted by position)
- d 7.245, intensity 65
- d 4.582, intensity 47
- d 2.738, intensity 100
- d 2.485, intensity 16
- d 2.415, intensity 24
- d 2.236, intensity 14
- d 1.757, intensity 19
- d 1.732, intensity 13
- d 1.708, intensity 20
- d 1.662, intensity 43

Structural model:
```
Si23Br
1.0
10.246 0.000 0.000
0.000 10.246 0.000
0.000 0.000 10.246
Si Br
46 2
Direct
0.000 0.117 0.308
0.000 0.117 0.692
0.000 0.250 0.500
0.000 0.750 0.500
0.000 0.883 0.308
0.000 0.883 0.692
0.117 0.308 0.000
0.117 0.692 0.000
0.183 0.183 0.183
0.183 0.183 0.817
0.183 0.817 0.183
0.183 0.817 0.817
0.192 0.383 0.500
0.192 0.617 0.500
0.250 0.500 0.000
0.308 0.000 0.117
0.308 0.000 0.883
0.317 0.317 0.317
0.317 0.317 0.683
0.317 0.683 0.317
0.317 0.683 0.683
0.383 0.500 0.192
0.383 0.500 0.808
0.500 0.000 0.250
0.500 0.000 0.750
0.500 0.192 0.383
0.500 0.192 0.617
0.500 0.808 0.383
0.500 0.808 0.617
0.617 0.500 0.192
0.617 0.500 0.808
0.683 0.317 0.317
0.683 0.317 0.683
0.683 0.683 0.317
0.683 0.683 0.683
0.692 0.000 0.117
0.692 0.000 0.883
0.750 0.500 0.000
0.808 0.383 0.500
0.808 0.617 0.500
0.817 0.183 0.183
0.817 0.183 0.817
0.817 0.817 0.183
0.817 0.817 0.817
0.883 0.308 0.000
0.883 0.692 0.000
0.000 0.000 0.000
0.500 0.500 0.500
```